[1]
# TmGa2Ni3
Simulated powder diffractogram, Cu Kα. Input: a crystal structure in the Materials Project, relaxed with PBE.
Peak positions follow from Bragg's law for the DFT cell and can differ from measured ones.

Structure:
```
TmGa2Ni3
1.0
8.8833 0.0000 0.0000
-4.4416 7.6932 0.0000
0.0000 0.0000 3.8858
Tm Ga Ni
3 6 9
Cartesian
0.0000 0.0000 0.0000
0.0000 5.1288 1.9429
4.4416 2.5644 1.9429
-1.4079 2.4385 1.9429
-3.0338 5.2546 1.9429
2.8158 0.0000 1.9429
1.4079 2.4385 1.9429
6.0675 0.0000 1.9429
3.0338 5.2546 1.9429
-2.2208 3.8466 0.0000
0.0000 2.7832 0.0000
-2.0314 6.3016 0.0000
2.4103 1.3916 0.0000
4.4416 0.0000 0.0000
2.2208 3.8466 0.0000
2.0314 6.3016 0.0000
6.4730 1.3916 0.0000
4.4416 4.9100 0.0000
```

Principal peaks in the range 10° ≤ 2θ ≤ 90°, sorted by position:
2θ (°)	I_rel
32.76	48
34.99	70
38.68	74
40.62	62
42.22	100
46.75	45

=====

[2]
# CoMo4N5
Simulated powder diffractogram, Cu Kα. Input: a crystal structure in the Materials Project, relaxed with PBE.
Peak positions follow from Bragg's law for the DFT cell and can differ from measured ones.

Structure:
```
CoMo4N5
1.0
2.8124 0.0000 0.0000
0.0000 1.4270 12.3439
0.0000 -1.4270 12.3439
Co Mo N
1 4 5
Cartesian
0.0000 0.0000 0.0000
0.0000 0.0000 4.6556
0.0000 0.0000 9.6534
0.0000 0.0000 14.4697
0.0000 0.0000 19.5424
1.4062 0.0000 2.9831
1.4062 0.0000 8.0000
1.4062 0.0000 12.8664
1.4062 0.0000 17.8649
1.4062 0.0000 22.7958
```

Principal peaks in the range 10° ≤ 2θ ≤ 90°, sorted by position:
2θ (°)	I_rel
31.82	38
36.37	92
49.09	100
65.44	21
74.61	18
78.22	20

=====

[3]
# Ca2TlIn
Simulated powder diffractogram, Cu Kα. Input: a crystal structure in the Materials Project, relaxed with PBE.
Peak positions follow from Bragg's law for the DFT cell and can differ from measured ones.

Structure:
```
Ca2TlIn
1.0
3.8969 0.0000 0.0000
0.0000 3.8969 0.0000
0.0000 0.0000 7.6389
Ca Tl In
2 1 1
Cartesian
0.0000 0.0000 1.9015
0.0000 0.0000 5.7374
1.9485 1.9485 3.8195
1.9485 1.9485 0.0000
```

Principal peaks in the range 10° ≤ 2θ ≤ 90°, sorted by position:
2θ (°)	I_rel
22.82	40
23.29	19
32.49	51
32.83	100
40.36	19
58.19	38

=====

[4]
# SrGe2Rh2
Simulated powder diffractogram, Cu Kα. Input: a crystal structure in the Materials Project, relaxed with PBE.
Peak positions follow from Bragg's law for the DFT cell and can differ from measured ones.

Structure:
```
SrGe2Rh2
1.0
-2.1160 2.1160 5.4720
2.1160 -2.1160 5.4720
2.1160 2.1160 -5.4720
Sr Ge Rh
1 2 2
Cartesian
0.0000 0.0000 0.0000
0.0000 0.0000 4.0233
0.0000 0.0000 6.9208
2.1160 0.0000 2.7360
0.0000 2.1160 2.7360
```

Principal peaks in the range 10° ≤ 2θ ≤ 90°, sorted by position:
2θ (°)	I_rel
16.20	38
32.40	61
34.15	100
42.73	66
44.89	42
59.34	28

=====

[5]
# La2GaN3
Simulated powder diffractogram, Cu Kα. Input: a crystal structure in the Materials Project, relaxed with PBE.
Peak positions follow from Bragg's law for the DFT cell and can differ from measured ones.

Structure:
```
La2GaN3
1.0
2.8712 -5.4897 0.0000
2.8712 5.4897 0.0000
-0.7445 0.0000 11.9859
La Ga N
8 4 12
Cartesian
0.7446 2.2721 10.1791
1.0511 1.1614 5.0971
0.6789 -1.1614 11.0901
1.1168 -2.2721 4.1861
3.8810 2.2721 7.7998
4.3190 1.1614 0.8959
3.9468 -1.1614 6.8888
4.2533 -2.2721 1.8068
1.0581 0.0183 7.9402
1.4304 -0.0183 1.9472
3.5675 0.0183 10.0387
3.9397 -0.0183 4.0458
2.6851 5.3971 2.9965
1.2352 1.1038 0.3238
1.4034 1.9617 7.5461
0.8630 -1.1038 6.3167
2.6851 1.1027 2.9965
3.2222 1.9617 10.4328
1.7757 -1.9617 1.5531
2.3128 -1.1027 8.9894
4.1349 1.1038 5.6692
3.5944 -1.9617 4.4399
3.7627 -1.1038 11.6621
2.3128 -5.3971 8.9894
```

Principal peaks in the range 10° ≤ 2θ ≤ 90°, sorted by position:
2θ (°)	I_rel
27.63	65
29.66	44
30.16	41
31.21	100
32.19	51
33.10	55

=====

[6]
# YInPd2
Simulated powder diffractogram, Cu Kα. Input: a crystal structure in the Materials Project, relaxed with PBE.
Peak positions follow from Bragg's law for the DFT cell and can differ from measured ones.

Structure:
```
YInPd2
1.0
0.0000 3.4037 3.4037
3.4037 0.0000 3.4037
3.4037 3.4037 0.0000
Y In Pd
1 1 2
Cartesian
0.0000 0.0000 0.0000
3.4037 3.4037 3.4037
1.7019 1.7019 1.7019
5.1056 5.1056 5.1056
```

Principal peaks in the range 10° ≤ 2θ ≤ 90°, sorted by position:
2θ (°)	I_rel
22.62	1
37.36	100
53.87	17
67.39	34
79.68	10